Calculated XRD peak list
Compound: K2FeCuC6N6
Radiation: Cu Kα, 1.54184 Å
Structure: a cell relaxed with PBE
Kinematic intensities with the Lorentz-polarization factor, no thermal factor.

Structure:
```
K2FeCuC6N6
1.0
6.9634 0.0000 0.0000
-0.1018 7.0260 0.0000
-3.3268 -3.5105 5.4747
K Fe Cu C N
2 1 1 6 6
direct
0.2288 0.2223 0.4689
0.7712 0.7777 0.5311
0.5000 0.0000 0.0000
0.0000 0.5000 0.0000
0.2822 0.7735 0.9285
0.3111 0.1868 0.0057
0.3732 0.8786 0.6625
0.6268 0.1214 0.3375
0.6889 0.8132 0.9943
0.7178 0.2265 0.0715
0.1444 0.6289 0.8801
0.1920 0.3040 0.0075
0.2969 0.8078 0.4534
0.7031 0.1922 0.5466
0.8080 0.6960 0.9925
0.8556 0.3711 0.1199
```

Top 10 peaks for 10° ≤ 2θ ≤ 80°, in order of falling intensity:
- (1 1 0), 2θ = 24.18°, intensity 100
- (1 1 -2), 2θ = 24.52°, intensity 83
- (0 0 2), 2θ = 32.72°, intensity 81
- (2 -2 0), 2θ = 36.06°, intensity 73
- (1 -1 1), 2θ = 23.99°, intensity 70
- (0 0 1), 2θ = 16.19°, intensity 64
- (-1 1 1), 2θ = 24.32°, intensity 64
- (1 -1 0), 2θ = 17.81°, intensity 62
- (2 0 -1), 2θ = 25.59°, intensity 57
- (0 2 -1), 2θ = 25.35°, intensity 55